This entry pairs a crystal structure of BaCe2EuO6 with its calculated X-ray powder pattern. Radiation: a wavelength of 1.5418 Å. Structure: the PBE geometry in Alexandria.

Cell and atoms:
Cell lengths 4.4454, 4.4454, 8.8922 Å; angles 90.00, 90.00, 90.00 degrees
Space group P4/mmm (No. 123)
Asymmetric unit:
Ba 0.0000 0.0000 0.0000 (multiplicity 1)
Ce 0.5000 0.5000 0.2540 (multiplicity 2)
Eu 0.0000 0.0000 0.5000 (multiplicity 1)
O 0.0000 0.5000 0.2606 (multiplicity 4)
O 0.5000 0.5000 0.0000 (multiplicity 1)
O 0.5000 0.5000 0.5000 (multiplicity 1)

Principal peaks in the range 2θ = 5–70°, by angle:
| hkl | 2θ/deg | Rel. int. |
| --- | --- | --- |
| 0 0 1 | 9.9 | 6 |
| 1 1 0 | 28.4 | 1000 |
| 1 1 2 | 35.0 | 16 |
| 2 0 0 | 40.6 | 296 |
| 1 1 4 | 50.3 | 420 |
| 2 2 0 | 58.7 | 190 |
| 3 1 0 | 66.5 | 183 |